1.
Al5Tl3: computed PXRD pattern (Cu Kα), based on a GGA-PBE-relaxed structure.
Kinematic intensities with the Lorentz-polarization factor, no thermal factor.

Peak list (10 most intense, 10 to 80 degrees two-theta, sorted by position)
2θ/deg  I (rel.)
13.71  183
20.55  459
24.98  164
27.79  442
34.81  1000
36.98  212
41.79  149
42.28  148
50.93  180
65.25  160

Structure:
Unit cell a=6.5054 b=6.5054 c=4.2748 alpha=90.00 beta=90.00 gamma=96.72
Fractional positions:
Al: 0.0000 0.0000 0.0000
Al: 0.0000 0.5000 0.0000
Al: 0.2268 0.2268 0.5000
Al: 0.5000 0.0000 0.0000
Al: 0.7732 0.7732 0.5000
Tl: 0.2441 0.7559 0.5000
Tl: 0.5000 0.5000 0.0000
Tl: 0.7559 0.2441 0.5000

2.
Tm7Al4Tl: computed PXRD pattern (Cu Kα), based on a GGA-PBE-relaxed structure.
Kinematic intensities with the Lorentz-polarization factor, no thermal factor.

Peak list (10 most intense, 10 to 80 degrees two-theta, sorted by position)
2θ/deg  I (rel.)
17.45  474
26.04  486
31.06  648
31.96  1000
32.15  693
32.37  509
34.06  717
36.94  739
45.96  519
46.12  384

Structure:
Unit cell a=7.4374 b=7.4374 c=9.1400 alpha=116.35 beta=116.35 gamma=44.24
Fractional positions:
Tm: 0.0000 0.0000 0.0000
Tm: 0.2431 0.2431 0.7096
Tm: 0.3097 0.3097 0.1327
Tm: 0.4168 0.4168 0.5737
Tm: 0.5832 0.5832 0.4263
Tm: 0.6903 0.6903 0.8673
Tm: 0.7569 0.7569 0.2904
Al: 0.0221 0.0221 0.6658
Al: 0.1770 0.1770 0.3405
Al: 0.8230 0.8230 0.6595
Al: 0.9779 0.9779 0.3342
Tl: 0.5000 0.5000 0.0000

3.
Tm6Al2Tl: computed PXRD pattern (Cu Kα), based on a GGA-PBE-relaxed structure.
Kinematic intensities with the Lorentz-polarization factor, no thermal factor.

Peak list (10 most intense, 10 to 80 degrees two-theta, sorted by position)
2θ/deg  I (rel.)
27.07  181
29.17  243
31.34  1000
32.87  238
34.05  168
34.26  358
34.84  212
37.08  220
37.81  147
58.45  188

Structure:
Unit cell a=8.5968 b=8.5968 c=8.5968 alpha=112.75 beta=111.32 gamma=104.46
Fractional positions:
Tm: 0.0286 0.8211 0.2075
Tm: 0.2450 0.5418 0.2967
Tm: 0.2450 0.9483 0.7033
Tm: 0.2750 0.3154 0.5903
Tm: 0.2750 0.6846 0.9596
Tm: 0.3864 0.1789 0.2075
Tm: 0.6136 0.8211 0.7925
Tm: 0.7250 0.3154 0.0404
Tm: 0.7250 0.6846 0.4097
Tm: 0.7550 0.0517 0.2967
Tm: 0.7550 0.4582 0.7033
Tm: 0.9714 0.1789 0.7925
Al: 0.0000 0.1436 0.1436
Al: 0.0000 0.8564 0.8564
Al: 0.3781 0.3781 0.0000
Al: 0.6219 0.6219 0.0000
Tl: 0.0000 0.5000 0.5000
Tl: 0.5000 0.0000 0.5000

4.
Zr2AlTlV: computed PXRD pattern (Cu Kα), based on a GGA-PBE-relaxed structure.
Kinematic intensities with the Lorentz-polarization factor, no thermal factor.

Peak list (10 most intense, 10 to 80 degrees two-theta, sorted by position)
2θ/deg  I (rel.)
16.57  780
18.79  918
25.15  957
33.51  1000
38.10  351
38.69  600
42.35  484
48.11  357
51.63  577
62.97  314

Structure:
Unit cell a=5.3489 b=5.3489 c=4.7233 alpha=90.00 beta=90.00 gamma=90.00
Fractional positions:
Zr: 0.0000 0.5000 0.0000
Zr: 0.5000 0.0000 0.0000
Al: 0.0000 0.0000 0.5000
Tl: 0.0000 0.0000 0.0000
V: 0.5000 0.5000 0.5000